Record 1
The following is a simulated XRD peak list of Ta5N6. It was derived from a cell relaxed with PBE, using Cu Ka.

Atomic structure:
```
data_Ta5N6
_chemical_formula_sum 'Ta10 N12'
_cell_length_a 5.1995
_cell_length_b 5.1995
_cell_length_c 10.4044
_cell_angle_alpha 90.00
_cell_angle_beta 90.00
_cell_angle_gamma 120.00
_space_group_name_H-M_alt 'P 1'
_space_group_IT_number 1
loop_
_space_group_symop_operation_xyz
'x,y,z'
loop_
_atom_site_label
_atom_site_type_symbol
_atom_site_fract_x
_atom_site_fract_y
_atom_site_fract_z
Ta1 Ta 0.0000 0.3244 0.2500
Ta2 Ta 0.0000 0.6756 0.7500
Ta3 Ta 0.3244 0.0000 0.2500
Ta4 Ta 0.3244 0.3244 0.7500
Ta5 Ta 0.3333 0.6667 0.0000
Ta6 Ta 0.3333 0.6667 0.5000
Ta7 Ta 0.6667 0.3333 0.0000
Ta8 Ta 0.6667 0.3333 0.5000
Ta9 Ta 0.6756 0.0000 0.7500
Ta10 Ta 0.6756 0.6756 0.2500
N1 N 0.0000 0.3387 0.6217
N2 N 0.0000 0.3387 0.8783
N3 N 0.0000 0.6613 0.1217
N4 N 0.0000 0.6613 0.3783
N5 N 0.3387 0.0000 0.6217
N6 N 0.3387 0.0000 0.8783
N7 N 0.3387 0.3387 0.1217
N8 N 0.3387 0.3387 0.3783
N9 N 0.6613 0.0000 0.1217
N10 N 0.6613 0.0000 0.3783
N11 N 0.6613 0.6613 0.6217
N12 N 0.6613 0.6613 0.8783
```

The 8 most intense peaks (2θ from 10° to 90°), most intense first:
2θ (°)	Rel. int.
38.72	100
35.59	56
43.51	49
34.48	39
72.73	35
61.81	30
26.17	28
64.61	25


Record 2
The following is a simulated XRD peak list of Cu2GeSe3. It was derived from a cell relaxed with PBE, using Cu Ka.

Atomic structure:
```
data_Cu2GeSe3
_chemical_formula_sum 'Cu4 Ge2 Se6'
_cell_length_a 6.8942
_cell_length_b 6.8942
_cell_length_c 6.5614
_cell_angle_alpha 90.00
_cell_angle_beta 90.00
_cell_angle_gamma 120.00
_space_group_name_H-M_alt 'P 1'
_space_group_IT_number 1
loop_
_space_group_symop_operation_xyz
'x,y,z'
loop_
_atom_site_label
_atom_site_type_symbol
_atom_site_fract_x
_atom_site_fract_y
_atom_site_fract_z
Cu1 Cu 0.0000 0.0000 0.0000
Cu2 Cu 0.0000 0.3290 0.5359
Cu3 Cu 0.3290 0.0000 0.5359
Cu4 Cu 0.6710 0.6710 0.5359
Ge1 Ge 0.3333 0.6667 0.0023
Ge2 Ge 0.6667 0.3333 0.0023
Se1 Se 0.0000 0.0000 0.6360
Se2 Se 0.0000 0.3242 0.1598
Se3 Se 0.3242 0.0000 0.1598
Se4 Se 0.3333 0.6667 0.6304
Se5 Se 0.6667 0.3333 0.6304
Se6 Se 0.6758 0.6758 0.1598
```

The 8 most intense peaks (2θ from 10° to 90°), most intense first:
2θ (°)	Rel. int.
25.85	100
45.58	83
49.35	81
29.27	67
27.18	55
53.88	46
37.86	38
87.06	31


Record 3
The following is a simulated XRD peak list of Nb8Ge2C3N3. It was derived from a cell relaxed with PBE, using Cu Ka.

Atomic structure:
```
data_Nb8Ge2C3N3
_chemical_formula_sum 'Nb8 Ge2 C3 N3'
_cell_length_a 3.1765
_cell_length_b 3.1765
_cell_length_c 23.4031
_cell_angle_alpha 90.00
_cell_angle_beta 90.00
_cell_angle_gamma 120.00
_space_group_name_H-M_alt 'P 1'
_space_group_IT_number 1
loop_
_space_group_symop_operation_xyz
'x,y,z'
loop_
_atom_site_label
_atom_site_type_symbol
_atom_site_fract_x
_atom_site_fract_y
_atom_site_fract_z
Nb1 Nb 0.0000 0.0000 0.1600
Nb2 Nb 0.0000 0.0000 0.3381
Nb3 Nb 0.0000 0.0000 0.6619
Nb4 Nb 0.0000 0.0000 0.8400
Nb5 Nb 0.3333 0.6667 0.5570
Nb6 Nb 0.3333 0.6667 0.9451
Nb7 Nb 0.6667 0.3333 0.0549
Nb8 Nb 0.6667 0.3333 0.4430
Ge1 Ge 0.3333 0.6667 0.7519
Ge2 Ge 0.6667 0.3333 0.2481
C1 C 0.0000 0.0000 0.5000
C2 C 0.3333 0.6667 0.3880
C3 C 0.6667 0.3333 0.6120
N1 N 0.0000 0.0000 0.0000
N2 N 0.3333 0.6667 0.1093
N3 N 0.6667 0.3333 0.8907
```

The 8 most intense peaks (2θ from 10° to 90°), most intense first:
2θ (°)	Rel. int.
40.11	100
37.94	76
58.08	46
36.08	35
38.47	30
71.83	29
32.78	25
33.46	23


Record 4
The following is a simulated XRD peak list of Cs2Zn2H4Se3O11. It was derived from a cell relaxed with PBE, using Cu Ka.

Atomic structure:
```
data_Cs2Zn2H4Se3O11
_chemical_formula_sum 'Cs4 Zn4 H8 Se6 O22'
_cell_length_a 7.2903
_cell_length_b 9.5969
_cell_length_c 9.6307
_cell_angle_alpha 78.23
_cell_angle_beta 73.91
_cell_angle_gamma 88.12
_space_group_name_H-M_alt 'P 1'
_space_group_IT_number 1
loop_
_space_group_symop_operation_xyz
'x,y,z'
loop_
_atom_site_label
_atom_site_type_symbol
_atom_site_fract_x
_atom_site_fract_y
_atom_site_fract_z
Cs1 Cs 0.1222 0.2453 0.0297
Cs2 Cs 0.1226 0.2143 0.5027
Cs3 Cs 0.8774 0.7857 0.4973
Cs4 Cs 0.8778 0.7547 0.9703
Zn1 Zn 0.4806 0.6710 0.8619
Zn2 Zn 0.4867 0.6701 0.3750
Zn3 Zn 0.5133 0.3299 0.6250
Zn4 Zn 0.5194 0.3290 0.1381
H1 H 0.0382 0.0553 0.8345
H2 H 0.1594 0.9178 0.0592
H3 H 0.2295 0.9124 0.6928
H4 H 0.3117 0.8952 0.5270
H5 H 0.6883 0.1048 0.4730
H6 H 0.7705 0.0876 0.3072
H7 H 0.8406 0.0822 0.9408
H8 H 0.9618 0.9447 0.1655
Se1 Se 0.2242 0.5974 0.1910
Se2 Se 0.2269 0.5683 0.6927
Se3 Se 0.4823 0.0133 0.8147
Se4 Se 0.5177 0.9867 0.1853
Se5 Se 0.7731 0.4317 0.3073
Se6 Se 0.7758 0.4026 0.8090
O1 O 0.0889 0.9045 0.1657
O2 O 0.1925 0.8895 0.6085
O3 O 0.2342 0.5920 0.8651
O4 O 0.2364 0.6156 0.3628
O5 O 0.2445 0.9599 0.8654
O6 O 0.2504 0.3852 0.7082
O7 O 0.2688 0.4190 0.1934
O8 O 0.4036 0.1371 0.2327
O9 O 0.4355 0.6802 0.0785
O10 O 0.4553 0.6252 0.5939
O11 O 0.4957 0.8808 0.3584
O12 O 0.5043 0.1192 0.6417
O13 O 0.5447 0.3748 0.4061
O14 O 0.5645 0.3198 0.9215
O15 O 0.5964 0.8629 0.7673
O16 O 0.7312 0.5810 0.8066
O17 O 0.7496 0.6148 0.2918
O18 O 0.7555 0.0401 0.1346
O19 O 0.7636 0.3844 0.6372
O20 O 0.7658 0.4080 0.1349
O21 O 0.8075 0.1105 0.3915
O22 O 0.9111 0.0955 0.8343
```

The 8 most intense peaks (2θ from 10° to 90°), most intense first:
2θ (°)	Rel. int.
28.04	100
30.99	81
26.95	50
23.07	44
30.06	40
24.39	39
26.22	38
37.46	38


Record 5
The following is a simulated XRD peak list of PrMgAl4. It was derived from a cell relaxed with PBE, using Cu Ka.

Atomic structure:
```
data_PrMgAl4
_chemical_formula_sum 'Pr1 Mg1 Al4'
_cell_length_a 4.6102
_cell_length_b 4.6102
_cell_length_c 6.8158
_cell_angle_alpha 90.00
_cell_angle_beta 90.00
_cell_angle_gamma 120.00
_space_group_name_H-M_alt 'P 1'
_space_group_IT_number 1
loop_
_space_group_symop_operation_xyz
'x,y,z'
loop_
_atom_site_label
_atom_site_type_symbol
_atom_site_fract_x
_atom_site_fract_y
_atom_site_fract_z
Pr1 Pr 0.0000 0.0000 0.0000
Mg1 Mg 0.0000 0.0000 0.5000
Al1 Al 0.3333 0.6667 0.2890
Al2 Al 0.3333 0.6667 0.7110
Al3 Al 0.6667 0.3333 0.2871
Al4 Al 0.6667 0.3333 0.7129
```

The 8 most intense peaks (2θ from 10° to 90°), most intense first:
2θ (°)	Rel. int.
34.61	100
25.86	76
39.08	58
22.27	41
53.17	29
12.99	28
67.93	27
56.91	18


Record 6
The following is a simulated XRD peak list of MgPd3Se6. It was derived from a cell relaxed with PBE, using Cu Ka.

Atomic structure:
```
data_MgPd3Se6
_chemical_formula_sum 'Mg1 Pd3 Se6'
_cell_length_a 7.6586
_cell_length_b 7.6586
_cell_length_c 3.8810
_cell_angle_alpha 90.00
_cell_angle_beta 90.00
_cell_angle_gamma 106.31
_space_group_name_H-M_alt 'P 1'
_space_group_IT_number 1
loop_
_space_group_symop_operation_xyz
'x,y,z'
loop_
_atom_site_label
_atom_site_type_symbol
_atom_site_fract_x
_atom_site_fract_y
_atom_site_fract_z
Mg1 Mg 0.0000 0.0000 0.0000
Pd1 Pd 0.0000 0.5000 0.5000
Pd2 Pd 0.5000 0.0000 0.5000
Pd3 Pd 0.5000 0.5000 0.0000
Se1 Se 0.1578 0.8422 0.5000
Se2 Se 0.1678 0.4075 0.0000
Se3 Se 0.4075 0.1678 0.0000
Se4 Se 0.5925 0.8322 0.0000
Se5 Se 0.8322 0.5925 0.0000
Se6 Se 0.8422 0.1578 0.5000
```

The 8 most intense peaks (2θ from 10° to 90°), most intense first:
2θ (°)	Rel. int.
42.43	100
27.20	59
25.96	35
24.22	30
39.23	28
46.82	23
48.39	23
36.68	19


Record 7
The following is a simulated XRD peak list of Rb3Ta3B2O12. It was derived from a cell relaxed with PBE, using Cu Ka.

Atomic structure:
```
data_Rb3Ta3B2O12
_chemical_formula_sum 'Rb3 Ta3 B2 O12'
_cell_length_a 8.8594
_cell_length_b 8.8594
_cell_length_c 3.9332
_cell_angle_alpha 90.00
_cell_angle_beta 90.00
_cell_angle_gamma 120.00
_space_group_name_H-M_alt 'P 1'
_space_group_IT_number 1
loop_
_space_group_symop_operation_xyz
'x,y,z'
loop_
_atom_site_label
_atom_site_type_symbol
_atom_site_fract_x
_atom_site_fract_y
_atom_site_fract_z
Rb1 Rb 0.0000 0.4042 0.0000
Rb2 Rb 0.4042 0.0000 0.0000
Rb3 Rb 0.5958 0.5958 0.0000
Ta1 Ta 0.0000 0.7539 0.5000
Ta2 Ta 0.2461 0.2461 0.5000
Ta3 Ta 0.7539 0.0000 0.5000
B1 B 0.3333 0.6667 0.5000
B2 B 0.6667 0.3333 0.5000
O1 O 0.0000 0.1768 0.5000
O2 O 0.0000 0.7384 0.0000
O3 O 0.1768 0.0000 0.5000
O4 O 0.1909 0.6895 0.5000
O5 O 0.2616 0.2616 0.0000
O6 O 0.3105 0.5014 0.5000
O7 O 0.4986 0.8091 0.5000
O8 O 0.5014 0.3105 0.5000
O9 O 0.6895 0.1909 0.5000
O10 O 0.7384 0.0000 0.0000
O11 O 0.8091 0.4986 0.5000
O12 O 0.8232 0.8232 0.5000
```

The 8 most intense peaks (2θ from 10° to 90°), most intense first:
2θ (°)	Rel. int.
30.83	100
30.39	99
20.04	60
32.61	38
56.54	37
11.53	33
25.45	29
57.35	29


Record 8
The following is a simulated XRD peak list of Cu5Ag4. It was derived from a cell relaxed with PBE, using Cu Ka.

Atomic structure:
```
data_Cu5Ag4
_chemical_formula_sum 'Cu5 Ag4'
_cell_length_a 7.0494
_cell_length_b 7.0494
_cell_length_c 6.7712
_cell_angle_alpha 96.89
_cell_angle_beta 96.89
_cell_angle_gamma 23.11
_space_group_name_H-M_alt 'P 1'
_space_group_IT_number 1
loop_
_space_group_symop_operation_xyz
'x,y,z'
loop_
_atom_site_label
_atom_site_type_symbol
_atom_site_fract_x
_atom_site_fract_y
_atom_site_fract_z
Cu1 Cu 0.0000 0.0000 0.0000
Cu2 Cu 0.4300 0.4300 0.6981
Cu3 Cu 0.5297 0.5297 0.3082
Cu4 Cu 0.6513 0.6513 0.9929
Cu5 Cu 0.8866 0.8866 0.3870
Ag1 Ag 0.0860 0.0860 0.6517
Ag2 Ag 0.2030 0.2030 0.3265
Ag3 Ag 0.3364 0.3364 0.0461
Ag4 Ag 0.7670 0.7670 0.6882
```

The 8 most intense peaks (2θ from 10° to 90°), most intense first:
2θ (°)	Rel. int.
40.69	100
44.95	80
40.10	54
40.26	45
51.01	17
70.20	14
80.28	13
79.22	13


Record 9
The following is a simulated XRD peak list of KSrNb2O6F. It was derived from a cell relaxed with PBE, using Cu Ka.

Atomic structure:
```
data_KSrNb2O6F
_chemical_formula_sum 'K2 Sr2 Nb4 O12 F2'
_cell_length_a 11.7883
_cell_length_b 11.7883
_cell_length_c 11.7883
_cell_angle_alpha 161.10
_cell_angle_beta 141.80
_cell_angle_gamma 42.95
_space_group_name_H-M_alt 'P 1'
_space_group_IT_number 1
loop_
_space_group_symop_operation_xyz
'x,y,z'
loop_
_atom_site_label
_atom_site_type_symbol
_atom_site_fract_x
_atom_site_fract_y
_atom_site_fract_z
K1 K 0.2362 0.2362 0.0000
K2 K 0.7638 0.7638 0.0000
Sr1 Sr 0.0000 0.0000 0.0000
Sr2 Sr 0.5000 0.0000 0.5000
Nb1 Nb 0.1358 0.3897 0.7461
Nb2 Nb 0.3564 0.6103 0.7461
Nb3 Nb 0.6436 0.3897 0.2539
Nb4 Nb 0.8642 0.6103 0.2539
O1 O 0.0288 0.3087 0.7202
O2 O 0.0797 0.5797 0.5000
O3 O 0.1615 0.9135 0.2480
O4 O 0.3345 0.0865 0.2480
O5 O 0.4041 0.4041 0.0000
O6 O 0.4115 0.6913 0.7202
O7 O 0.5885 0.3087 0.2798
O8 O 0.5959 0.5959 0.0000
O9 O 0.6655 0.9135 0.7520
O10 O 0.8385 0.0865 0.7520
O11 O 0.9203 0.4203 0.5000
O12 O 0.9712 0.6913 0.2798
F1 F 0.2744 0.5000 0.7744
F2 F 0.7256 0.5000 0.2256
```

The 8 most intense peaks (2θ from 10° to 90°), most intense first:
2θ (°)	Rel. int.
28.28	100
33.04	74
30.80	56
26.04	52
50.15	48
55.70	35
46.94	28
47.12	26


Record 10
The following is a simulated XRD peak list of Zr4Ta2Cu3N3. It was derived from a cell relaxed with PBE, using Cu Ka.

Atomic structure:
```
data_Zr4Ta2Cu3N3
_chemical_formula_sum 'Zr8 Ta4 Cu6 N6'
_cell_length_a 5.5785
_cell_length_b 5.5785
_cell_length_c 13.6049
_cell_angle_alpha 102.24
_cell_angle_beta 102.24
_cell_angle_gamma 59.96
_space_group_name_H-M_alt 'P 1'
_space_group_IT_number 1
loop_
_space_group_symop_operation_xyz
'x,y,z'
loop_
_atom_site_label
_atom_site_type_symbol
_atom_site_fract_x
_atom_site_fract_y
_atom_site_fract_z
Zr1 Zr 0.0422 0.1959 0.1052
Zr2 Zr 0.1232 0.2986 0.3948
Zr3 Zr 0.1959 0.0422 0.6052
Zr4 Zr 0.2986 0.1232 0.8948
Zr5 Zr 0.7014 0.8768 0.1052
Zr6 Zr 0.8041 0.9578 0.3948
Zr7 Zr 0.8768 0.7014 0.6052
Zr8 Zr 0.9578 0.8041 0.8948
Ta1 Ta 0.3538 0.5264 0.0768
Ta2 Ta 0.4736 0.6462 0.4232
Ta3 Ta 0.5264 0.3538 0.5768
Ta4 Ta 0.6462 0.4736 0.9232
Cu1 Cu 0.1535 0.8465 0.2500
Cu2 Cu 0.3207 0.4170 0.7508
Cu3 Cu 0.4170 0.3207 0.2508
Cu4 Cu 0.5830 0.6793 0.7492
Cu5 Cu 0.6793 0.5830 0.2492
Cu6 Cu 0.8465 0.1535 0.7500
N1 N 0.0000 0.5000 0.0000
N2 N 0.1616 0.6692 0.5000
N3 N 0.3308 0.8384 0.0000
N4 N 0.5000 0.0000 0.5000
N5 N 0.6692 0.1616 0.0000
N6 N 0.8384 0.3308 0.5000
```

The 8 most intense peaks (2θ from 10° to 90°), most intense first:
2θ (°)	Rel. int.
38.08	100
38.23	98
38.34	96
32.10	72
57.22	59
41.06	47
18.52	31
32.83	31


Record 11
The following is a simulated XRD peak list of Hf3Ni2As4Pt2. It was derived from a cell relaxed with PBE, using Cu Ka.

Atomic structure:
```
data_Hf3Ni2As4Pt2
_chemical_formula_sum 'Hf3 Ni2 As4 Pt2'
_cell_length_a 6.5193
_cell_length_b 3.8854
_cell_length_c 7.4764
_cell_angle_alpha 90.00
_cell_angle_beta 90.13
_cell_angle_gamma 90.00
_space_group_name_H-M_alt 'P 1'
_space_group_IT_number 1
loop_
_space_group_symop_operation_xyz
'x,y,z'
loop_
_atom_site_label
_atom_site_type_symbol
_atom_site_fract_x
_atom_site_fract_y
_atom_site_fract_z
Hf1 Hf 0.0000 0.0000 0.0000
Hf2 Hf 0.0751 0.5000 0.6273
Hf3 Hf 0.5584 0.5000 0.4995
Ni1 Ni 0.1577 0.5000 0.2596
Ni2 Ni 0.9190 0.0000 0.3652
As1 As 0.2895 0.0000 0.3983
As2 As 0.3038 0.5000 0.9681
As3 As 0.7820 0.5000 0.2102
As4 As 0.7871 0.0000 0.6651
Pt1 Pt 0.3604 0.0000 0.7494
Pt2 Pt 0.6968 0.5000 0.8855
```

The 8 most intense peaks (2θ from 10° to 90°), most intense first:
2θ (°)	Rel. int.
37.98	100
36.10	77
35.98	59
11.84	57
43.12	46
46.76	44
38.66	37
43.37	24